1.
This entry pairs a crystal structure of SrCaAl2Si2N6 with its computed X-ray diffraction stick pattern. Radiation: Cu Kα. Structure: DFT lattice parameters and positions (PBE).
Neutral-atom scattering factors, no anomalous dispersion.

Structure:
```
SrCaAl2Si2N6
1.0
5.1432 0.0000 0.0000
0.0154 5.7260 0.0000
0.0244 2.8555 4.9906
Sr Ca Al Si N
1 1 2 2 6
direct
0.0000 0.0000 0.0000
0.4981 0.9885 0.3863
0.0236 0.3424 0.3531
0.5258 0.6425 0.0118
0.0184 0.6420 0.7023
0.5211 0.3487 0.6586
0.3573 0.5558 0.7626
0.3822 0.4173 0.3523
0.4990 0.0115 0.9084
0.8547 0.4502 0.5825
0.8795 0.5514 0.0129
0.9899 0.9783 0.4675
```

Main lines, low angle first (15 to 90 degrees two-theta):
- d 4.974, I 25
- d 3.580, I 37
- d 2.876, I 71
- d 2.863, I 32
- d 2.572, I 80
- d 2.513, I 97
- d 2.503, I 100
- d 2.484, I 39
- d 1.656, I 33
- d 1.394, I 26

=====

2.
This entry pairs a crystal structure of Cd5In with its computed X-ray diffraction stick pattern. Radiation: Cu Kα. Structure: DFT lattice parameters and positions (PBE).
Neutral-atom scattering factors, no anomalous dispersion.

Structure:
```
Cd5In
1.0
10.4442 0.0000 0.0000
0.0000 3.1566 0.0000
-3.1300 0.0000 8.5313
Cd In
10 2
direct
0.0000 0.0000 0.0000
0.1656 0.5000 0.8390
0.1693 0.5000 0.3258
0.3307 0.0000 0.6742
0.3344 0.0000 0.1610
0.5000 0.5000 0.0000
0.6656 0.0000 0.8390
0.6693 0.0000 0.3258
0.8307 0.5000 0.6742
0.8344 0.5000 0.1610
0.0000 0.0000 0.5000
0.5000 0.5000 0.5000
```

Main lines, low angle first (15 to 90 degrees two-theta):
- d 2.779, I 61
- d 2.588, I 100
- d 2.536, I 47
- d 2.271, I 69
- d 2.261, I 33
- d 1.659, I 25
- d 1.551, I 19
- d 1.417, I 15
- d 1.372, I 13
- d 1.349, I 12

=====

3.
This entry pairs a crystal structure of Ca3Cd11 with its computed X-ray diffraction stick pattern. Radiation: Cu Kα. Structure: DFT lattice parameters and positions (PBE).
Neutral-atom scattering factors, no anomalous dispersion.

Structure:
```
Ca3Cd11
1.0
-2.4158 5.0823 7.1894
2.4158 -5.0823 7.1894
2.4158 5.0823 -7.1894
Ca Cd
3 11
direct
0.0000 0.0000 0.0000
0.2957 0.2957 0.0000
0.7043 0.7043 0.0000
0.0245 0.6629 0.3617
0.1502 0.8640 0.2862
0.3012 0.6629 0.6383
0.3151 0.5000 0.8151
0.4222 0.1360 0.2862
0.5000 0.0000 0.5000
0.5778 0.8640 0.7138
0.6849 0.5000 0.1849
0.6988 0.3371 0.3617
0.8498 0.1360 0.7138
0.9755 0.3371 0.6383
```

Main lines, low angle first (15 to 90 degrees two-theta):
- d 5.082, I 41
- d 4.364, I 31
- d 4.335, I 33
- d 2.827, I 100
- d 2.772, I 66
- d 2.588, I 63
- d 2.416, I 74
- d 2.396, I 44
- d 2.222, I 60
- d 2.196, I 70

=====

4.
This entry pairs a crystal structure of Y4TlTe2 with its computed X-ray diffraction stick pattern. Radiation: Cu Kα. Structure: DFT lattice parameters and positions (PBE).
Neutral-atom scattering factors, no anomalous dispersion.

Structure:
```
Y4TlTe2
1.0
2.1231 -6.9754 0.0000
2.1231 6.9754 0.0000
0.0000 0.0000 14.5893
Y Tl Te
8 2 4
direct
0.0000 0.0000 0.0000
0.0000 0.0000 0.5000
0.2792 0.7208 0.6318
0.2792 0.7208 0.8682
0.4394 0.5606 0.2500
0.5606 0.4394 0.7500
0.7208 0.2792 0.1318
0.7208 0.2792 0.3682
0.1018 0.8982 0.2500
0.8982 0.1018 0.7500
0.3590 0.6410 0.0598
0.3590 0.6410 0.4402
0.6410 0.3590 0.5598
0.6410 0.3590 0.9402
```

Main lines, low angle first (15 to 90 degrees two-theta):
- d 3.989, I 50
- d 3.232, I 46
- d 3.136, I 26
- d 3.066, I 100
- d 2.881, I 57
- d 2.370, I 64
- d 2.221, I 23
- d 2.123, I 32
- d 2.103, I 24
- d 2.098, I 22

=====

5.
This entry pairs a crystal structure of Sm4AgHg3 with its computed X-ray diffraction stick pattern. Radiation: Cu Kα. Structure: DFT lattice parameters and positions (PBE).
Neutral-atom scattering factors, no anomalous dispersion.

Structure:
```
Sm4AgHg3
1.0
3.7758 0.0000 0.0000
0.0000 4.9114 0.0000
0.0000 0.0000 11.8445
Sm Ag Hg
4 1 3
direct
0.0000 0.0000 0.0000
0.0000 0.5000 0.2906
0.5000 0.0000 0.4934
0.5000 0.5000 0.7949
0.5000 0.0000 0.2238
0.0000 0.0000 0.7275
0.0000 0.5000 0.5617
0.5000 0.5000 0.0673
```

Main lines, low angle first (15 to 90 degrees two-theta):
- d 2.961, I 26
- d 2.902, I 100
- d 2.729, I 22
- d 2.536, I 47
- d 2.456, I 40
- d 2.385, I 72
- d 1.889, I 32
- d 1.514, I 19
- d 1.497, I 17
- d 1.307, I 19

=====

6.
This entry pairs a crystal structure of NaEuGeO4 with its computed X-ray diffraction stick pattern. Radiation: Cu Kα. Structure: DFT lattice parameters and positions (PBE).
Neutral-atom scattering factors, no anomalous dispersion.

Structure:
```
NaEuGeO4
1.0
11.7272 0.0000 0.0000
0.0000 6.6590 0.0000
0.0000 0.0000 5.3719
Na Eu Ge O
4 4 4 16
direct
0.0000 0.0000 0.0000
0.0000 0.5000 0.0000
0.5000 0.0000 0.5000
0.5000 0.5000 0.5000
0.2230 0.2500 0.4981
0.2770 0.7500 0.9981
0.7230 0.2500 0.0019
0.7770 0.7500 0.5019
0.0940 0.7500 0.4417
0.4060 0.2500 0.9417
0.5940 0.7500 0.0583
0.9060 0.2500 0.5583
0.0457 0.2500 0.6824
0.1050 0.7500 0.7667
0.1686 0.5455 0.2905
0.1686 0.9545 0.2905
0.3314 0.0455 0.7905
0.3314 0.4545 0.7905
0.3950 0.2500 0.2667
0.4543 0.7500 0.1824
0.5457 0.2500 0.8176
0.6050 0.7500 0.7333
0.6686 0.5455 0.2095
0.6686 0.9545 0.2095
0.8314 0.0455 0.7095
0.8314 0.4545 0.7095
0.8950 0.2500 0.2333
0.9543 0.7500 0.3176
```

Main lines, low angle first (15 to 90 degrees two-theta):
- d 5.864, I 29
- d 4.884, I 24
- d 3.938, I 74
- d 3.330, I 43
- d 3.161, I 23
- d 2.855, I 100
- d 2.751, I 29
- d 2.685, I 37
- d 1.969, I 26
- d 1.817, I 27

=====

Number 6 is which compound?
NaEuGeO4